The following is a calculated XRD peak list of K2U2PSe2. It was derived from DFT lattice parameters and positions (GGA-PBE), using Cu Kα (weighted mean of Kα1 and Kα2).
Kinematic intensities with the Lorentz-polarization factor, no thermal factor.

Main lines, in order of falling intensity (2θ = 15–90°):
d (Å)	two_theta	I/Imax
2.762	32.41	100
3.381	26.36	94
2.619	34.24	63
2.215	40.74	51
2.497	35.96	44
1.538	60.16	40
1.625	56.66	39
1.808	50.48	30
4.145	21.44	23
1.852	49.20	22

Atomic structure:
Lattice parameters (Å, degrees): 5.238 5.238 16.581 90.00 90.00 90.00
Element x y z (fractional)
K (0.000, 0.000, 0.191)
K (0.000, 0.000, 0.809)
K (0.500, 0.500, 0.309)
K (0.500, 0.500, 0.691)
U (0.000, 0.500, 0.000)
U (0.000, 0.500, 0.500)
U (0.500, 0.000, 0.000)
U (0.500, 0.000, 0.500)
P (0.000, 0.000, 0.000)
P (0.500, 0.500, 0.500)
Se (0.000, 0.000, 0.392)
Se (0.000, 0.000, 0.608)
Se (0.500, 0.500, 0.108)
Se (0.500, 0.500, 0.892)